For NpCu2F8, a cell relaxed with GGA-PBE gives the calculated X-ray powder pattern in this record (Cu Ka).

Largest 10 diffraction maxima, sorted by position, 2θ = 10–80°:
2θ/deg  intensity
17.8  100
28.2  72
30.4  20
31.5  16
36.4  26
44.3  22
45.1  12
47.6  25
54.0  25
57.6  10

Cell and atoms:
a b c (Å): 6.5347 6.5347 6.5347
angles (deg): 128.42 128.42 75.95
Fractional positions:
Np: 0.0000 0.0000 0.0000
Cu: 0.2500 0.7500 0.5000
Cu: 0.7500 0.2500 0.5000
F: 0.0206 0.5841 0.8452
F: 0.1754 0.0206 0.4365
F: 0.2612 0.4159 0.4365
F: 0.4159 0.9794 0.1548
F: 0.5841 0.7388 0.5635
F: 0.7388 0.1754 0.1548
F: 0.8246 0.2612 0.8452
F: 0.9794 0.8246 0.5635


For AcTb2SbN4, a cell relaxed with GGA-PBE gives the calculated X-ray powder pattern in this record (Cu Ka).

Largest 10 diffraction maxima, sorted by position, 2θ = 10–80°:
2θ/deg  intensity
26.9  30
28.8  100
29.6  41
30.0  36
33.3  30
35.8  57
42.6  21
47.1  22
47.8  19
50.5  19

Cell and atoms:
a b c (Å): 6.3224 6.3224 11.9279
angles (deg): 90.00 90.00 144.95
Fractional positions:
Ac: 0.1011 0.8989 0.7500
Ac: 0.8989 0.1011 0.2500
Tb: 0.3726 0.6274 0.5392
Tb: 0.3726 0.6274 0.9608
Tb: 0.6274 0.3726 0.0392
Tb: 0.6274 0.3726 0.4608
Sb: 0.1584 0.8416 0.2500
Sb: 0.8416 0.1584 0.7500
N: 0.0000 0.0000 0.0000
N: 0.0000 0.0000 0.5000
N: 0.2760 0.7240 0.1238
N: 0.2760 0.7240 0.3762
N: 0.4221 0.5779 0.7500
N: 0.5779 0.4221 0.2500
N: 0.7240 0.2760 0.6238
N: 0.7240 0.2760 0.8762


For Ga2Cu7Au2, a cell relaxed with GGA-PBE gives the calculated X-ray powder pattern in this record (Cu Ka).

Largest 10 diffraction maxima, sorted by position, 2θ = 10–80°:
2θ/deg  intensity
20.7  18
22.9  7
29.7  11
35.9  8
41.1  100
41.3  37
42.1  20
46.2  20
46.4  27
50.9  18

Cell and atoms:
a b c (Å): 3.9109 5.3288 14.6697
angles (deg): 90.00 97.26 90.00
Fractional positions:
Ga: 0.0475 0.0000 0.0920
Ga: 0.2234 0.4974 0.4451
Ga: 0.7766 0.9974 0.5549
Ga: 0.9525 0.5000 0.9080
Cu: 0.0425 0.5174 0.0842
Cu: 0.1331 0.5211 0.2669
Cu: 0.1381 0.0195 0.2731
Cu: 0.2263 0.0232 0.4504
Cu: 0.3136 0.7611 0.6330
Cu: 0.4111 0.2623 0.8197
Cu: 0.4967 0.2599 0.9948
Cu: 0.5033 0.7599 0.0052
Cu: 0.5889 0.7623 0.1803
Cu: 0.6864 0.2611 0.3670
Cu: 0.7737 0.5232 0.5496
Cu: 0.8619 0.5195 0.7269
Cu: 0.8669 0.0211 0.7331
Cu: 0.9575 0.0174 0.9158
Au: 0.3155 0.2645 0.6340
Au: 0.4092 0.7688 0.8207
Au: 0.5908 0.2688 0.1793
Au: 0.6845 0.7645 0.3660


For PCl3F4, a cell relaxed with GGA-PBE gives the calculated X-ray powder pattern in this record (Cu Ka).

Largest 10 diffraction maxima, sorted by position, 2θ = 10–80°:
2θ/deg  intensity
17.0  21
18.0  44
19.1  19
20.8  100
24.2  49
24.3  12
24.5  42
28.7  22
33.2  12
55.0  10

Cell and atoms:
a b c (Å): 7.7378 5.2373 10.5896
angles (deg): 90.00 108.04 90.00
Fractional positions:
P: 0.2120 0.0000 0.3845
P: 0.7880 0.5000 0.6155
Cl: 0.2262 0.2632 0.2395
Cl: 0.2735 0.0049 0.9838
Cl: 0.3047 0.8809 0.8134
Cl: 0.6953 0.3809 0.1866
Cl: 0.7265 0.5049 0.0162
Cl: 0.7738 0.7632 0.7605
F: 0.0365 0.8790 0.2866
F: 0.1968 0.2246 0.4784
F: 0.2042 0.7988 0.4972
F: 0.4040 0.8926 0.3901
F: 0.5960 0.3926 0.6099
F: 0.7958 0.2988 0.5028
F: 0.8032 0.7246 0.5216
F: 0.9635 0.3790 0.7134


For Pa6Ni6Hg, a cell relaxed with GGA-PBE gives the calculated X-ray powder pattern in this record (Cu Ka).

Largest 10 diffraction maxima, sorted by position, 2θ = 10–80°:
2θ/deg  intensity
28.7  25
32.0  25
33.4  100
33.9  50
36.3  36
37.5  44
38.2  65
38.6  41
43.4  46
66.6  39

Cell and atoms:
a b c (Å): 7.2947 7.2947 7.2947
angles (deg): 137.45 100.48 94.67
Fractional positions:
Pa: 0.1609 0.5000 0.6609
Pa: 0.1733 0.1733 0.0000
Pa: 0.3191 0.0000 0.3191
Pa: 0.6809 0.0000 0.6809
Pa: 0.8267 0.8267 0.0000
Pa: 0.8391 0.5000 0.3391
Ni: 0.0000 0.0000 0.5000
Ni: 0.0000 0.5000 0.0000
Ni: 0.2585 0.7585 0.5000
Ni: 0.5000 0.0000 0.0000
Ni: 0.5000 0.5000 0.5000
Ni: 0.7415 0.2415 0.5000
Hg: 0.5000 0.5000 0.0000


For CsLiAsI6, a cell relaxed with GGA-PBE gives the calculated X-ray powder pattern in this record (Cu Ka).

Largest 10 diffraction maxima, sorted by position, 2θ = 10–80°:
2θ/deg  intensity
21.3  81
23.5  60
24.1  96
24.6  75
26.4  77
27.0  83
28.0  65
29.4  62
29.6  60
30.0  100

Cell and atoms:
a b c (Å): 6.6337 8.0764 8.6975
angles (deg): 102.16 95.53 111.79
Fractional positions:
Cs: 0.0000 0.0000 0.0000
Li: 0.8580 0.4344 0.3339
As: 0.4759 0.7611 0.4089
I: 0.2467 0.4393 0.4953
I: 0.4768 0.5179 0.0616
I: 0.4842 0.9929 0.6865
I: 0.5674 0.0697 0.2424
I: 0.8869 0.7984 0.5031
I: 0.9750 0.5137 0.0489


For Pu8Mn5Ga, a cell relaxed with GGA-PBE gives the calculated X-ray powder pattern in this record (Cu Ka).

Largest 10 diffraction maxima, sorted by position, 2θ = 10–80°:
2θ/deg  intensity
26.2  64
30.4  31
34.0  86
34.1  47
40.5  100
54.0  38
56.3  39
56.4  22
69.6  22
71.6  15

Cell and atoms:
a b c (Å): 7.2097 7.2097 7.2097
angles (deg): 109.39 109.39 109.64
Fractional positions:
Pu: 0.1104 0.3487 0.0868
Pu: 0.1171 0.3669 0.6113
Pu: 0.2618 0.0235 0.9132
Pu: 0.4942 0.8829 0.2498
Pu: 0.6331 0.2444 0.7502
Pu: 0.6513 0.7382 0.7617
Pu: 0.7556 0.5058 0.3887
Pu: 0.9765 0.8896 0.2383
Mn: 0.0367 0.6318 0.8973
Mn: 0.3682 0.2654 0.4049
Mn: 0.5000 0.5000 0.0000
Mn: 0.7346 0.1394 0.1027
Mn: 0.8606 0.9633 0.5951
Ga: 0.2500 0.7500 0.5000


For LaCd6Au3, a cell relaxed with GGA-PBE gives the calculated X-ray powder pattern in this record (Cu Ka).

Largest 10 diffraction maxima, sorted by position, 2θ = 10–80°:
2θ/deg  intensity
30.3  27
31.5  35
31.9  50
34.0  62
34.8  35
34.9  26
35.1  84
38.0  100
39.2  77
40.7  47

Cell and atoms:
a b c (Å): 9.2352 4.7388 10.5914
angles (deg): 90.00 99.96 90.00
Fractional positions:
La: 0.0669 0.2500 0.2629
La: 0.9331 0.7500 0.7371
Cd: 0.1302 0.2500 0.6124
Cd: 0.1637 0.7500 0.0399
Cd: 0.3090 0.7500 0.7605
Cd: 0.3646 0.7500 0.2978
Cd: 0.3945 0.2500 0.4740
Cd: 0.4592 0.2500 0.9068
Cd: 0.5408 0.7500 0.0932
Cd: 0.6056 0.7500 0.5260
Cd: 0.6354 0.2500 0.7022
Cd: 0.6910 0.2500 0.2395
Cd: 0.8363 0.2500 0.9601
Cd: 0.8698 0.7500 0.3876
Au: 0.1344 0.2500 0.8836
Au: 0.1843 0.7500 0.4839
Au: 0.3636 0.2500 0.1485
Au: 0.6364 0.7500 0.8515
Au: 0.8157 0.2500 0.5161
Au: 0.8656 0.7500 0.1164